Starting from a cell relaxed with PBE, the X-ray powder pattern of Ac2GaSiPd6 was calculated for Cu Kα, 1.54184 Å.
Kinematic intensities with the Lorentz-polarization factor, no thermal factor.

```
data_Ac2GaSiPd6
_chemical_formula_sum 'Ac2 Ga1 Si1 Pd6'
_cell_length_a 5.692
_cell_length_b 6.594
_cell_length_c 6.861
_cell_angle_alpha 75.05
_cell_angle_beta 65.59
_cell_angle_gamma 64.45
_symmetry_space_group_name_H-M 'P -1'
_symmetry_Int_Tables_number 2
loop_
_symmetry_equiv_pos_as_xyz
'x,y,z'
'-x,-y,-z'
loop_
_atom_site_label
_atom_site_fract_x
_atom_site_fract_y
_atom_site_fract_z
_atom_site_occupancy
Ac1 0.245 0.223 0.287 1
Ga1 0.500 0.500 0.500 1
Si1 0.000 0.000 0.000 1
Pd1 0.243 0.247 0.764 1
Pd2 0.249 0.619 0.882 1
Pd3 0.257 0.753 0.235 1
```

Top 10 peaks for 2θ = 10–90°, sorted by position:
- 27.1 deg, d 3.293, I = 34.5, hkl 1 0 -1
- 27.9 deg, d 3.202, I = 33.4, hkl 1 2 1
- 28.7 deg, d 3.109, I = 50.1, hkl 0 0 2
- 29.0 deg, d 3.079, I = 35.9, hkl 1 -1 1
- 30.2 deg, d 2.961, I = 48.4, hkl 0 2 0
- 37.4 deg, d 2.407, I = 100.0, hkl 2 2 2
- 38.5 deg, d 2.337, I = 79.9, hkl 2 0 2
- 40.0 deg, d 2.256, I = 59.7, hkl 0 2 2
- 41.0 deg, d 2.202, I = 30.5, hkl 1 1 -2
- 42.6 deg, d 2.122, I = 29.9, hkl 1 3 0